Record 1
This entry pairs a crystal structure of TiV4Si3 with its computed powder XRD pattern. Radiation: Cu Kα (λ = 1.5418 Å). Structure: DFT lattice parameters and positions (PBE).

Atomic structure:
abc: 9.5400 9.5400 4.7162
angles: 90.00 90.00 90.00
Space group I4/mcm (No. 140)
Unique sites:
Ti  0.0000  0.5000  0.2500
V  0.0720  0.2201  0.0000
Si  0.0000  0.0000  0.2500
Si  0.1703  0.3297  0.5000

Most intense lines, 2θ = 10–90°, low angle first:
| two_theta | d/Å | Rel. int. |
| --- | --- | --- |
| 37.72 | 2.385 | 14 |
| 38.16 | 2.358 | 21 |
| 39.03 | 2.308 | 47 |
| 42.37 | 2.133 | 45 |
| 42.78 | 2.114 | 34 |
| 43.57 | 2.077 | 100 |
| 47.02 | 1.933 | 41 |
| 68.97 | 1.362 | 11 |
| 72.72 | 1.300 | 19 |
| 83.85 | 1.154 | 11 |


Record 2
This entry pairs a crystal structure of SrH4S3O12 with its computed powder XRD pattern. Radiation: Cu Kα (λ = 1.5418 Å). Structure: DFT lattice parameters and positions (PBE).

Atomic structure:
abc: 6.0408 8.5745 10.3904
angles: 81.47 83.53 70.83
Space group P-1 (No. 2)
Unique sites:
Sr  0.0022  0.2612  0.4406
H  0.0074  0.9775  0.8670
H  0.2436  0.5959  0.1313
H  0.4410  0.2205  0.6552
H  0.4992  0.1523  0.0849
S  0.1235  0.2242  0.0648
S  0.3381  0.9924  0.6779
S  0.3822  0.5450  0.3240
O  0.0113  0.7051  0.0472
O  0.0435  0.3055  0.1819
O  0.1511  0.0342  0.0985
O  0.1584  0.9711  0.6036
O  0.1805  0.4987  0.3931
O  0.2868  0.9563  0.8202
O  0.2952  0.1859  0.6452
O  0.3436  0.7216  0.3412
O  0.3797  0.2141  0.0183
O  0.3897  0.5276  0.1757
O  0.3908  0.5658  0.6377
O  0.4206  0.0950  0.3621

Most intense lines, 2θ = 10–90°, low angle first:
| two_theta | d/Å | Rel. int. |
| --- | --- | --- |
| 14.79 | 5.991 | 24 |
| 22.67 | 3.922 | 100 |
| 22.92 | 3.880 | 30 |
| 23.58 | 3.774 | 71 |
| 24.15 | 3.686 | 59 |
| 26.50 | 3.363 | 40 |
| 29.57 | 3.021 | 42 |
| 29.81 | 2.997 | 28 |
| 32.07 | 2.791 | 29 |
| 45.08 | 2.011 | 29 |


Record 3
This entry pairs a crystal structure of Y2B6Ru with its computed powder XRD pattern. Radiation: Cu Kα (λ = 1.5418 Å). Structure: DFT lattice parameters and positions (PBE).

Atomic structure:
abc: 9.1601 11.5348 3.6697
angles: 90.00 90.00 90.00
Space group Pbam (No. 55)
Unique sites:
Y  0.0563  0.1270  0.0000
Y  0.1777  0.4139  0.0000
B  0.0164  0.2870  0.5000
B  0.0538  0.5673  0.5000
B  0.1114  0.9694  0.5000
B  0.1318  0.8147  0.5000
B  0.2098  0.2331  0.5000
B  0.2473  0.5801  0.5000
Ru  0.1377  0.6789  0.0000

Most intense lines, 2θ = 10–90°, low angle first:
| two_theta | d/Å | Rel. int. |
| --- | --- | --- |
| 24.25 | 3.670 | 100 |
| 30.31 | 2.949 | 69 |
| 32.55 | 2.751 | 33 |
| 33.20 | 2.699 | 27 |
| 39.19 | 2.298 | 97 |
| 39.75 | 2.267 | 31 |
| 41.01 | 2.201 | 44 |
| 41.54 | 2.174 | 38 |
| 45.26 | 2.003 | 23 |
| 49.69 | 1.835 | 28 |


Record 4
This entry pairs a crystal structure of Tb5Ge10Rh4 with its computed powder XRD pattern. Radiation: Cu Kα (λ = 1.5418 Å). Structure: DFT lattice parameters and positions (PBE).

Atomic structure:
abc: 13.0983 13.0983 4.3254
angles: 90.00 90.00 90.00
Space group P4/mbm (No. 127)
Unique sites:
Tb  0.0000  0.0000  0.0000
Tb  0.1135  0.3865  0.5000
Tb  0.1758  0.6758  0.5000
Ge  0.0029  0.8402  0.5000
Ge  0.0663  0.5663  0.0000
Ge  0.1609  0.2001  0.0000
Rh  0.0221  0.7543  0.0000

Most intense lines, 2θ = 10–90°, low angle first:
| two_theta | d/Å | Rel. int. |
| --- | --- | --- |
| 32.18 | 2.782 | 48 |
| 34.35 | 2.611 | 69 |
| 34.93 | 2.569 | 34 |
| 35.05 | 2.560 | 45 |
| 35.73 | 2.513 | 100 |
| 37.07 | 2.425 | 23 |
| 41.77 | 2.163 | 57 |
| 41.96 | 2.153 | 24 |
| 44.30 | 2.045 | 26 |
| 55.30 | 1.661 | 18 |